The following is a simulated powder XRD pattern of ScBiPtSe3. It was derived from the PBE geometry in OQMD, using λ = 1.5418 Å (Cu Kα).
Peak positions follow from Bragg's law for the DFT cell and can differ from measured ones.

Principal peaks in the range 10° ≤ 2θ ≤ 90°, sorted by position:
2θ/deg  I_rel  hkl
11.8  32  1 0 0
17.1  30  1 0 1
25.6  26  1 1 0
33.0  100  2 1 0
36.3  44  2 1 1
38.1  26  1 0 -4
46.2  31  0 2 0
52.3  24  4 0 1

Crystal structure
```
data_ScBiPtSe3
_cell_length_a 7.759
_cell_length_b 3.930
_cell_length_c 9.447
_cell_angle_alpha 90.00
_cell_angle_beta 105.01
_cell_angle_gamma 90.00
_space_group_name_H-M_alt 'P 1 21/m 1'
_space_group_IT_number 11
loop_
_space_group_symop_operation_xyz
'x,y,z'
'-x,-y,-z'
'-x,y+1/2,-z'
'x,-y+1/2,z'
loop_
_atom_site_label
_atom_site_fract_x
_atom_site_fract_y
_atom_site_fract_z
_atom_site_occupancy
Sc1 0.166 0.250 0.174 1
Bi1 0.311 0.750 0.720 1
Pt1 0.376 0.750 0.454 1
Se1 0.084 0.250 0.873 1
Se2 0.157 0.250 0.447 1
Se3 0.414 0.750 0.157 1
```


The following is a simulated powder XRD pattern of Sn2Bi3Pt2. It was derived from the PBE geometry in OQMD, using λ = 1.5418 Å (Cu Kα).
Peak positions follow from Bragg's law for the DFT cell and can differ from measured ones.

Principal peaks in the range 10° ≤ 2θ ≤ 90°, sorted by position:
2θ/deg  I_rel  hkl
21.1  21  1 0 0
28.9  31  1 0 4
36.6  83  1 0 6
36.9  100  1 1 0
53.0  29  2 0 6
64.0  20  1 1 10
66.3  30  2 1 6
66.6  19  3 0 0

Crystal structure
```
data_Sn2Bi3Pt2
_cell_length_a 4.8661
_cell_length_b 4.8661
_cell_length_c 18.1532
_cell_angle_alpha 90.00
_cell_angle_beta 90.00
_cell_angle_gamma 120.00
_space_group_name_H-M_alt 'P 63/m m c'
_space_group_IT_number 194
_space_group_name_Hall '-P 6c 2c'
loop_
_atom_site_label
_atom_site_fract_x
_atom_site_fract_y
_atom_site_fract_z
_atom_site_occupancy
Sn1 0.3333 0.6667 0.0495 1
Bi1 0.0000 0.0000 0.1539 1
Bi2 0.3333 0.6667 0.7500 1
Pt1 0.0000 0.0000 0.0000 1
Pt2 0.3333 0.6667 0.2500 1
```


The following is a simulated powder XRD pattern of SrSnBiPt2. It was derived from the PBE geometry in OQMD, using λ = 1.5418 Å (Cu Kα).
Peak positions follow from Bragg's law for the DFT cell and can differ from measured ones.

Principal peaks in the range 10° ≤ 2θ ≤ 90°, sorted by position:
2θ/deg  I_rel  hkl
16.8  65  0 0 2
30.4  96  1 1 -2
31.6  100  1 1 2
36.1  56  2 0 0
37.8  68  0 2 0
42.3  55  1 1 -4
44.1  38  1 1 4
53.2  38  2 2 0

Crystal structure
```
data_SrSnBiPt2
_cell_length_a 4.987
_cell_length_b 4.761
_cell_length_c 10.568
_cell_angle_alpha 90.00
_cell_angle_beta 93.27
_cell_angle_gamma 90.00
_space_group_name_H-M_alt 'P 1 21/m 1'
_space_group_IT_number 11
loop_
_space_group_symop_operation_xyz
'x,y,z'
'-x,-y,-z'
'-x,y+1/2,-z'
'x,-y+1/2,z'
loop_
_atom_site_label
_atom_site_fract_x
_atom_site_fract_y
_atom_site_fract_z
_atom_site_occupancy
Sr1 0.241 0.250 0.239 1
Sn1 0.309 0.250 0.895 1
Bi1 0.247 0.750 0.496 1
Pt1 0.177 0.750 0.999 1
Pt2 0.269 0.250 0.645 1
```


The following is a simulated powder XRD pattern of Tb3Bi3Pt2. It was derived from the PBE geometry in OQMD, using λ = 1.5418 Å (Cu Kα).
Peak positions follow from Bragg's law for the DFT cell and can differ from measured ones.

Principal peaks in the range 10° ≤ 2θ ≤ 90°, sorted by position:
2θ/deg  I_rel  hkl
12.7  25  0 0 2
20.8  20  1 0 1
23.6  45  1 0 2
28.1  27  1 1 0
31.0  24  1 1 2
38.3  100  1 1 4
40.2  45  2 0 0
71.8  33  3 1 4

Crystal structure
```
data_Tb3Bi3Pt2
_cell_length_a 4.488
_cell_length_b 4.488
_cell_length_c 13.950
_cell_angle_alpha 90.00
_cell_angle_beta 90.00
_cell_angle_gamma 90.00
_space_group_name_H-M_alt 'P -4 m 2'
_space_group_IT_number 115
loop_
_space_group_symop_operation_xyz
'x,y,z'
'y,-x,-z'
'-x,-y,z'
'-y,x,-z'
'-x,y,z'
'-y,-x,-z'
'x,-y,z'
'y,x,-z'
loop_
_atom_site_label
_atom_site_fract_x
_atom_site_fract_y
_atom_site_fract_z
_atom_site_occupancy
Tb1 0.000 0.000 0.000 1
Tb2 0.000 0.000 0.250 1
Bi1 0.000 0.000 0.500 1
Bi2 0.500 0.500 0.000 1
Bi3 0.500 0.500 0.500 1
Pt1 0.000 0.500 0.639 1
```